The following is a theoretical XRD peak list of Sb2O3. It was derived from a GGA-PBE-relaxed structure, using Cu Kα X-rays.

Main lines, most intense first (15° ≤ 2θ ≤ 90°):
| two_theta | d [Å] | I/Imax | h k l |
| --- | --- | --- | --- |
| 26.94 | 3.309 | 100 | 2 2 2 |
| 44.72 | 2.027 | 38 | 4 4 0 |
| 52.98 | 1.728 | 37 | 6 2 2 |
| 31.21 | 2.866 | 36 | 4 0 0 |
| 71.78 | 1.315 | 12 | 6 6 2 |
| 34.09 | 2.630 | 11 | 3 3 1 |
| 73.95 | 1.282 | 11 | 8 4 0 |
| 55.54 | 1.655 | 11 | 4 4 4 |

Cell and atoms:
Cell lengths 11.464, 11.464, 11.464 Å; angles 90.00, 90.00, 90.00 degrees
Space group Fd-3m (No. 227, origin choice 2)
Unique sites:
Sb: 0.012 0.012 0.238 (multiplicity 32)
O: 0.060 0.375 0.375 (multiplicity 48)


The following is a theoretical XRD peak list of CePPt2. It was derived from a GGA-PBE-relaxed structure, using Cu Kα X-rays.

Main lines, most intense first (15° ≤ 2θ ≤ 90°):
| two_theta | d [Å] | I/Imax | h k l |
| --- | --- | --- | --- |
| 16.67 | 5.319 | 100 | 0 0 3 |
| 36.26 | 2.477 | 75 | 1 1 0 |
| 40.15 | 2.246 | 68 | 1 1 3 |
| 50.45 | 1.809 | 24 | 0 1 8 |
| 75.53 | 1.259 | 21 | 1 2 8 |
| 50.33 | 1.813 | 20 | 1 1 6 |
| 35.04 | 2.561 | 20 | 0 1 5 |
| 21.44 | 4.144 | 19 | 1 0 1 |

Cell and atoms:
Cell lengths 4.9549, 4.9549, 15.9581 Å; angles 90.00, 90.00, 120.00 degrees
Space group R-3m (No. 166, hexagonal axes)
Unique sites:
Ce: 0.0000 0.0000 0.0000 (multiplicity 3)
P: 0.0000 0.0000 0.5000 (multiplicity 3)
Pt: 0.0000 0.0000 0.3641 (multiplicity 6)


The following is a theoretical XRD peak list of DyYCoCu. It was derived from a GGA-PBE-relaxed structure, using Cu Kα X-rays.

Main lines, most intense first (15° ≤ 2θ ≤ 90°):
| two_theta | d [Å] | I/Imax | h k l |
| --- | --- | --- | --- |
| 32.95 | 2.719 | 100 | 1 1 1 |
| 41.29 | 2.187 | 54 | 1 1 3 |
| 34.68 | 2.587 | 46 | 0 1 3 |
| 27.73 | 3.217 | 26 | 1 0 2 |
| 44.27 | 2.046 | 25 | 2 0 0 |
| 41.11 | 2.196 | 23 | 1 0 4 |
| 34.46 | 2.602 | 23 | 0 0 4 |
| 46.81 | 1.941 | 21 | 0 2 0 |

Cell and atoms:
Cell lengths 4.092, 3.882, 10.409 Å; angles 90.00, 90.00, 90.00 degrees
Space group Amm2 (No. 38)
Unique sites:
Dy: 0.000 0.000 0.000 (multiplicity 2)
Y: 0.500 0.000 0.718 (multiplicity 2)
Co: 0.500 0.000 0.433 (multiplicity 2)
Cu: 0.000 0.000 0.295 (multiplicity 2)


Question: Number 3 is which compound?
Answer: DyYCoCu


Copy entry 2 word for word.
The following is a theoretical XRD peak list of CePPt2. It was derived from a GGA-PBE-relaxed structure, using Cu Kα X-rays.

Main lines, most intense first (15° ≤ 2θ ≤ 90°):
| two_theta | d [Å] | I/Imax | h k l |
| --- | --- | --- | --- |
| 16.67 | 5.319 | 100 | 0 0 3 |
| 36.26 | 2.477 | 75 | 1 1 0 |
| 40.15 | 2.246 | 68 | 1 1 3 |
| 50.45 | 1.809 | 24 | 0 1 8 |
| 75.53 | 1.259 | 21 | 1 2 8 |
| 50.33 | 1.813 | 20 | 1 1 6 |
| 35.04 | 2.561 | 20 | 0 1 5 |
| 21.44 | 4.144 | 19 | 1 0 1 |

Cell and atoms:
Cell lengths 4.9549, 4.9549, 15.9581 Å; angles 90.00, 90.00, 120.00 degrees
Space group R-3m (No. 166, hexagonal axes)
Unique sites:
Ce: 0.0000 0.0000 0.0000 (multiplicity 3)
P: 0.0000 0.0000 0.5000 (multiplicity 3)
Pt: 0.0000 0.0000 0.3641 (multiplicity 6)


Please write out number 2 again, unchanged.
The following is a theoretical XRD peak list of CePPt2. It was derived from a GGA-PBE-relaxed structure, using Cu Kα X-rays.

Main lines, most intense first (15° ≤ 2θ ≤ 90°):
| two_theta | d [Å] | I/Imax | h k l |
| --- | --- | --- | --- |
| 16.67 | 5.319 | 100 | 0 0 3 |
| 36.26 | 2.477 | 75 | 1 1 0 |
| 40.15 | 2.246 | 68 | 1 1 3 |
| 50.45 | 1.809 | 24 | 0 1 8 |
| 75.53 | 1.259 | 21 | 1 2 8 |
| 50.33 | 1.813 | 20 | 1 1 6 |
| 35.04 | 2.561 | 20 | 0 1 5 |
| 21.44 | 4.144 | 19 | 1 0 1 |

Cell and atoms:
Cell lengths 4.9549, 4.9549, 15.9581 Å; angles 90.00, 90.00, 120.00 degrees
Space group R-3m (No. 166, hexagonal axes)
Unique sites:
Ce: 0.0000 0.0000 0.0000 (multiplicity 3)
P: 0.0000 0.0000 0.5000 (multiplicity 3)
Pt: 0.0000 0.0000 0.3641 (multiplicity 6)


Question: Number 2 is which compound?
Answer: CePPt2